Structure and theoretical powder X-ray diffraction pattern of Ba2LiCoCl6 (a cell relaxed with PBE; λ = 1.5418 Å (Cu Kα)).
Peak positions follow from Bragg's law for the DFT cell and can differ from measured ones.

Most intense lines, 2θ = 10–90°, low angle first:
d (Å), 2theta, intensity, h k l
4.481, 19.81, 47, 0 1 5
3.752, 23.72, 39, 1 0 7
3.470, 25.67, 81, 1 1 0
2.956, 30.24, 24, 2 0 2
2.801, 31.95, 39, 0 0 12
2.744, 32.64, 100, 2 0 5
2.547, 35.23, 91, 0 2 7
1.735, 52.76, 46, 2 2 0
1.651, 55.66, 25, 2 0 17
1.475, 63.02, 29, 2 2 12

Unit cell a=6.9400 b=6.9400 c=33.6147 alpha=90.00 beta=90.00 gamma=120.00
Space group R-3m (No. 166, hexagonal axes)
Inequivalent atoms, fractional coordinates:
1 Ba 0.0000 0.0000 0.1264 (multiplicity 6)
2 Ba 0.0000 0.0000 0.2918 (multiplicity 6)
3 Li 0.0000 0.0000 0.4174 (multiplicity 6)
4 Co 0.0000 0.0000 0.0000 (multiplicity 3)
5 Co 0.0000 0.0000 0.5000 (multiplicity 3)
6 Cl 0.0011 0.5006 0.7085 (multiplicity 18)
7 Cl 0.0110 0.5055 0.8738 (multiplicity 18)